# Na2Te2Pb
Calculated powder XRD pattern, Cu Kα (λ = 1.5418 Å). Input: a crystal structure in Alexandria, relaxed with GGA-PBE.
No peak broadening, texture or thermal motion is included.

Main lines, in order of falling intensity (10° ≤ 2θ ≤ 90°):
2θ/deg  I (rel.)  index
32.87  100  3 0 2
32.67  84  0 2 2
22.41  76  2 1 1
30.11  56  2 1 2
13.77  38  1 1 0
26.86  32  1 1 2
58.43  32  3 2 4
19.22  31  2 1 0
34.91  31  3 1 -2
39.99  26  2 1 3
54.75  22  5 1 3
38.15  22  2 3 0

```
data_Na2Te2Pb
_symmetry_space_group_name_H-M 'P 1 21/c 1'
_symmetry_Int_Tables_number 14
_cell_length_a 11.4925
_cell_length_b 7.7622
_cell_length_c 7.7457
_cell_angle_alpha 90.00
_cell_angle_beta 90.05
_cell_angle_gamma 90.00
loop_
_symmetry_equiv_pos_as_xyz
'x,y,z'
'-x,-y,-z'
'-x,y+1/2,-z+1/2'
'x,-y+1/2,z+1/2'
loop_
_atom_site_label
_atom_site_fract_x
_atom_site_fract_y
_atom_site_fract_z
_atom_site_occupancy
Na1 0.0171 0.2501 0.0000 1
Na2 0.2793 0.7504 0.0000 1
Te1 0.1522 0.0105 0.2502 1
Te2 0.4427 0.5665 0.2499 1
Pb1 0.3717 0.2504 0.9996 1
```


# K2P2Pd3
Calculated powder XRD pattern, Cu Kα (λ = 1.5418 Å). Input: a crystal structure in Alexandria, relaxed with GGA-PBE.
No peak broadening, texture or thermal motion is included.

Main lines, in order of falling intensity (10° ≤ 2θ ≤ 90°):
2θ/deg  I (rel.)  index
17.37  100  0 1 1
32.19  65  2 1 -1
33.64  49  1 2 1
37.34  44  1 1 -3
31.19  37  1 0 2
28.35  29  0 2 1
32.89  28  2 1 0
27.70  24  1 1 -2
46.57  23  1 0 -4
52.53  20  3 1 1
42.58  18  1 3 -1
14.96  16  1 0 0

```
data_K2P2Pd3
_symmetry_space_group_name_H-M 'P 1 21/c 1'
_symmetry_Int_Tables_number 14
_cell_length_a 6.1297
_cell_length_b 6.9272
_cell_length_c 7.8196
_cell_angle_alpha 90.00
_cell_angle_beta 104.93
_cell_angle_gamma 90.00
loop_
_symmetry_equiv_pos_as_xyz
'x,y,z'
'-x,-y,-z'
'-x,y+1/2,-z+1/2'
'x,-y+1/2,z+1/2'
loop_
_atom_site_label
_atom_site_fract_x
_atom_site_fract_y
_atom_site_fract_z
_atom_site_occupancy
K1 0.1990 0.1065 0.4199 1
P1 0.3382 0.6539 0.6302 1
Pd1 0.0000 0.0000 0.0000 1
Pd2 0.4079 0.6111 0.3495 1
```


# Pr3IrPbCl
Calculated powder XRD pattern, Cu Kα (λ = 1.5418 Å). Input: a crystal structure in Alexandria, relaxed with GGA-PBE.
No peak broadening, texture or thermal motion is included.

Main lines, in order of falling intensity (10° ≤ 2θ ≤ 90°):
2θ/deg  I (rel.)  index
30.01  100  2 1 -1
33.49  59  1 0 3
38.23  50  0 2 0
33.84  33  2 1 1
30.53  31  2 1 0
28.10  24  0 0 3
27.07  21  1 1 -2
51.71  18  1 2 3
23.80  17  2 0 0
32.40  16  2 1 -2
44.22  16  3 1 -3
21.05  15  0 1 1

```
data_Pr3IrPbCl
_symmetry_space_group_name_H-M 'P 1 21/m 1'
_symmetry_Int_Tables_number 11
_cell_length_a 7.7528
_cell_length_b 4.7087
_cell_length_c 9.8801
_cell_angle_alpha 90.00
_cell_angle_beta 105.35
_cell_angle_gamma 90.00
loop_
_symmetry_equiv_pos_as_xyz
'x,y,z'
'-x,-y,-z'
'-x,y+1/2,-z'
'x,-y+1/2,z'
loop_
_atom_site_label
_atom_site_fract_x
_atom_site_fract_y
_atom_site_fract_z
_atom_site_occupancy
Pr1 0.0428 0.2500 0.3638 1
Pr2 0.2139 0.2500 0.9598 1
Pr3 0.4284 0.7500 0.6244 1
Ir1 0.2043 0.2500 0.6497 1
Pb1 0.2382 0.7500 0.2223 1
Cl1 0.3930 0.7500 0.9048 1
```


# Ba3AgPt
Calculated powder XRD pattern, Cu Kα (λ = 1.5418 Å). Input: a crystal structure in Alexandria, relaxed with GGA-PBE.
No peak broadening, texture or thermal motion is included.

Main lines, in order of falling intensity (10° ≤ 2θ ≤ 90°):
2θ/deg  I (rel.)  index
36.45  100  5 1 1
14.93  81  1 1 1
30.11  70  2 2 2
33.12  69  1 3 1
38.77  60  1 1 5
25.56  55  2 0 -4
23.86  48  4 0 -2
29.73  46  4 0 -4
20.36  46  3 1 -1
26.44  45  2 2 1
31.55  44  4 2 -1
27.75  41  1 1 -4

```
data_Ba3AgPt
_symmetry_space_group_name_H-M 'C 1 2/c 1'
_symmetry_Int_Tables_number 15
_cell_length_a 15.1903
_cell_length_b 8.5930
_cell_length_c 14.0093
_cell_angle_alpha 90.00
_cell_angle_beta 111.43
_cell_angle_gamma 90.00
loop_
_symmetry_equiv_pos_as_xyz
'x,y,z'
'-x,-y,-z'
'-x,y,-z+1/2'
'x,-y,z+1/2'
'x+1/2,y+1/2,z'
'-x+1/2,-y+1/2,-z'
'-x+1/2,y+1/2,-z+1/2'
'x+1/2,-y+1/2,z+1/2'
loop_
_atom_site_label
_atom_site_fract_x
_atom_site_fract_y
_atom_site_fract_z
_atom_site_occupancy
Ba1 0.0626 0.2453 0.0562 1
Ba2 0.1454 0.4327 0.8043 1
Ba3 0.1713 0.0654 0.3745 1
Ag1 0.1521 0.1429 0.6307 1
Pt1 0.0000 0.2870 0.2500 1
Pt2 0.2500 0.2500 0.0000 1
```


# Ac6OsPdRh2
Calculated powder XRD pattern, Cu Kα (λ = 1.5418 Å). Input: a crystal structure in Alexandria, relaxed with GGA-PBE.
No peak broadening, texture or thermal motion is included.

Main lines, in order of falling intensity (10° ≤ 2θ ≤ 90°):
2θ/deg  I (rel.)  index
27.04  100  2 1 2
35.34  53  1 2 -1
41.67  41  3 3 2
46.31  24  2 1 -2
69.68  18  3 3 6
50.35  13  2 -2 1
16.10  10  0 1 1
49.68  10  3 3 4
55.73  9  2 4 4
25.83  9  0 0 2
67.44  9  5 1 3
72.02  7  4 5 1

```
data_Ac6OsPdRh2
_symmetry_space_group_name_H-M 'P 1'
_symmetry_Int_Tables_number 1
_cell_length_a 7.4974
_cell_length_b 7.5116
_cell_length_c 8.1443
_cell_angle_alpha 62.58
_cell_angle_beta 62.61
_cell_angle_gamma 60.08
loop_
_symmetry_equiv_pos_as_xyz
'x,y,z'
loop_
_atom_site_label
_atom_site_fract_x
_atom_site_fract_y
_atom_site_fract_z
_atom_site_occupancy
Ac1 0.0000 0.0000 0.0000 1
Ac2 0.1486 0.8225 0.5127 1
Ac3 0.3230 0.3351 0.9998 1
Ac4 0.4855 0.1729 0.5134 1
Ac5 0.6643 0.6579 0.0004 1
Ac6 0.8361 0.4848 0.5131 1
Os1 0.0760 0.4126 0.7563 1
Pd1 0.5771 0.9133 0.2542 1
Rh1 0.2432 0.5793 0.2552 1
Rh2 0.7402 0.0756 0.7654 1
```


# CsAl3Ge3
Calculated powder XRD pattern, Cu Kα (λ = 1.5418 Å). Input: a crystal structure in Alexandria, relaxed with GGA-PBE.
No peak broadening, texture or thermal motion is included.

Main lines, in order of falling intensity (10° ≤ 2θ ≤ 90°):
2θ/deg  I (rel.)  index
30.29  100  2 1 1
47.04  58  3 2 1
24.63  43  2 0 0
27.59  22  2 1 0
50.50  21  4 0 0
82.20  17  6 1 1
71.48  17  5 2 1
56.97  16  4 2 0
60.03  14  3 3 2
74.21  13  4 4 0
79.56  8  6 0 0
43.36  7  2 2 2

```
data_CsAl3Ge3
_symmetry_space_group_name_H-M 'P m -3 n'
_symmetry_Int_Tables_number 223
_symmetry_space_group_name_Hall '-P 4n 2 3'
_cell_length_a 7.2288
_cell_length_b 7.2288
_cell_length_c 7.2288
_cell_angle_alpha 90.00
_cell_angle_beta 90.00
_cell_angle_gamma 90.00
loop_
_atom_site_label
_atom_site_fract_x
_atom_site_fract_y
_atom_site_fract_z
_atom_site_occupancy
Cs1 0.0000 0.0000 0.0000 1
Al1 0.0000 0.2500 0.5000 1
Ge1 0.0000 0.5000 0.2500 1
```


# TaV3Ga3
Calculated powder XRD pattern, Cu Kα (λ = 1.5418 Å). Input: a crystal structure in Alexandria, relaxed with GGA-PBE.
No peak broadening, texture or thermal motion is included.

Main lines, in order of falling intensity (10° ≤ 2θ ≤ 90°):
2θ/deg  I (rel.)  index
42.72  100  2 -1 6
30.23  82  1 1 3
43.83  72  3 0 0
15.36  32  1 0 1
16.89  31  0 0 3
40.17  29  1 2 2
62.86  19  2 2 6
36.91  19  0 2 4
38.87  17  2 1 1
72.13  15  4 1 3
77.45  15  1 1 12
31.01  15  2 0 2

```
data_TaV3Ga3
_symmetry_space_group_name_H-M 'R -3'
_symmetry_Int_Tables_number 148
_symmetry_space_group_name_Hall '-R 3'
_cell_length_a 7.1559
_cell_length_b 7.1559
_cell_length_c 15.7512
_cell_angle_alpha 90.00
_cell_angle_beta 90.00
_cell_angle_gamma 120.00
loop_
_atom_site_label
_atom_site_fract_x
_atom_site_fract_y
_atom_site_fract_z
_atom_site_occupancy
Ta1 0.0000 0.0000 0.1698 1
V1 0.0037 0.7242 0.4552 1
Ga1 0.0049 0.6231 0.6167 1
```


# Tb2CeBr6
Calculated powder XRD pattern, Cu Kα (λ = 1.5418 Å). Input: a crystal structure in Alexandria, relaxed with GGA-PBE.
No peak broadening, texture or thermal motion is included.

Main lines, in order of falling intensity (10° ≤ 2θ ≤ 90°):
2θ/deg  I (rel.)  index
27.99  100  2 -1 3
39.40  88  3 0 0
25.65  47  1 0 4
41.41  47  2 1 4
34.34  43  0 2 4
40.60  38  2 -1 6
14.03  35  1 0 1
16.98  28  0 1 2
22.44  23  1 1 0
63.45  21  5 -2 4
35.05  19  3 -1 1
56.42  16  2 -1 9

```
data_Tb2CeBr6
_symmetry_space_group_name_H-M 'R 3'
_symmetry_Int_Tables_number 146
_symmetry_space_group_name_Hall 'R 3'
_cell_length_a 7.9229
_cell_length_b 7.9229
_cell_length_c 16.1065
_cell_angle_alpha 90.00
_cell_angle_beta 90.00
_cell_angle_gamma 120.00
loop_
_atom_site_label
_atom_site_fract_x
_atom_site_fract_y
_atom_site_fract_z
_atom_site_occupancy
Tb1 0.0000 0.0000 0.0000 1
Tb2 0.0000 0.0000 0.2619 1
Ce1 0.0000 0.0000 0.4734 1
Br1 0.0047 0.7123 0.8778 1
Br2 0.0066 0.3561 0.0359 1
```


# NdScP2O8
Calculated powder XRD pattern, Cu Kα (λ = 1.5418 Å). Input: a crystal structure in Alexandria, relaxed with GGA-PBE.
No peak broadening, texture or thermal motion is included.

Main lines, in order of falling intensity (10° ≤ 2θ ≤ 90°):
2θ/deg  I (rel.)  index
19.73  100  1 0 0
32.78  85  1 0 2
23.63  68  1 0 1
34.53  65  1 1 0
12.87  49  0 0 1
48.35  47  0 2 2
36.99  40  1 1 1
43.67  38  2 -1 2
60.76  27  2 1 2
65.06  19  1 1 4
68.73  17  2 0 4
44.35  17  0 1 3

```
data_NdScP2O8
_symmetry_space_group_name_H-M 'P -3'
_symmetry_Int_Tables_number 147
_cell_length_a 5.1951
_cell_length_b 5.1951
_cell_length_c 6.8769
_cell_angle_alpha 90.00
_cell_angle_beta 90.00
_cell_angle_gamma 120.00
loop_
_symmetry_equiv_pos_as_xyz
'x,y,z'
'-x,-y,-z'
'-y,x-y,z'
'y,-x+y,-z'
'-x+y,-x,z'
'x-y,x,-z'
loop_
_atom_site_label
_atom_site_fract_x
_atom_site_fract_y
_atom_site_fract_z
_atom_site_occupancy
Nd1 0.0000 0.0000 0.0000 1
Sc1 0.0000 0.0000 0.5000 1
P1 0.3333 0.6667 0.7802 1
O1 0.1695 0.3418 0.7051 1
O2 0.3333 0.6667 0.0030 1
```


# Er3ScHg4
Calculated powder XRD pattern, Cu Kα (λ = 1.5418 Å). Input: a crystal structure in Alexandria, relaxed with GGA-PBE.
No peak broadening, texture or thermal motion is included.

Main lines, in order of falling intensity (10° ≤ 2θ ≤ 90°):
2θ/deg  I (rel.)  index
34.73  100  1 0 4
34.84  51  1 1 0
62.40  38  2 1 4
50.10  18  2 0 0
62.19  17  1 1 8
84.02  17  3 1 0
73.30  11  2 0 8
49.77  8  0 0 8
83.48  7  1 0 12
73.56  6  2 2 0
24.44  4  1 0 0
30.62  4  1 0 3

```
data_Er3ScHg4
_symmetry_space_group_name_H-M 'P 4/m m m'
_symmetry_Int_Tables_number 123
_symmetry_space_group_name_Hall '-P 4 2'
_cell_length_a 3.6416
_cell_length_b 3.6416
_cell_length_c 14.6563
_cell_angle_alpha 90.00
_cell_angle_beta 90.00
_cell_angle_gamma 90.00
loop_
_atom_site_label
_atom_site_fract_x
_atom_site_fract_y
_atom_site_fract_z
_atom_site_occupancy
Er1 0.0000 0.0000 0.0000 1
Er2 0.0000 0.0000 0.2559 1
Sc1 0.0000 0.0000 0.5000 1
Hg1 0.5000 0.5000 0.1273 1
Hg2 0.5000 0.5000 0.3857 1
```


# K3RbNa2
Calculated powder XRD pattern, Cu Kα (λ = 1.5418 Å). Input: a crystal structure in Alexandria, relaxed with GGA-PBE.
No peak broadening, texture or thermal motion is included.

Main lines, in order of falling intensity (10° ≤ 2θ ≤ 90°):
2θ/deg  I (rel.)  index
24.57  100  1 3 1
28.09  38  2 0 0
40.92  22  2 6 0
29.13  15  0 6 0
47.59  15  1 3 3
47.69  15  3 3 1
40.14  15  2 0 2
50.37  12  2 6 2
48.97  12  1 9 1
20.35  11  1 1 1
14.77  9  1 1 0
65.12  9  3 9 1

```
data_K3RbNa2
_symmetry_space_group_name_H-M 'C m m m'
_symmetry_Int_Tables_number 65
_symmetry_space_group_name_Hall '-C 2 2'
_cell_length_a 6.3430
_cell_length_b 18.3903
_cell_length_c 6.3613
_cell_angle_alpha 90.00
_cell_angle_beta 90.00
_cell_angle_gamma 90.00
loop_
_atom_site_label
_atom_site_fract_x
_atom_site_fract_y
_atom_site_fract_z
_atom_site_occupancy
K1 0.0000 0.0000 0.0000 1
K2 0.0000 0.3247 0.0000 1
Rb1 0.0000 0.5000 0.5000 1
Na1 0.0000 0.1804 0.5000 1
```


# LiErPuO6
Calculated powder XRD pattern, Cu Kα (λ = 1.5418 Å). Input: a crystal structure in Alexandria, relaxed with GGA-PBE.
No peak broadening, texture or thermal motion is included.

Main lines, in order of falling intensity (10° ≤ 2θ ≤ 90°):
2θ/deg  I (rel.)  index
26.73  100  1 0 1
19.40  39  1 0 0
51.00  29  2 -1 2
33.93  28  1 1 0
43.71  27  2 0 1
56.45  26  3 -1 1
77.76  10  3 1 1
60.51  10  1 0 3
42.03  10  1 0 2
60.71  10  3 0 0
81.27  9  2 1 3
83.19  7  2 2 2

```
data_LiErPuO6
_symmetry_space_group_name_H-M 'P 3 1 2'
_symmetry_Int_Tables_number 149
_cell_length_a 5.2844
_cell_length_b 5.2844
_cell_length_c 4.8706
_cell_angle_alpha 90.00
_cell_angle_beta 90.00
_cell_angle_gamma 120.00
loop_
_symmetry_equiv_pos_as_xyz
'x,y,z'
'-y,x-y,z'
'-x+y,-x,z'
'-y,-x,-z'
'-x+y,y,-z'
'x,x-y,-z'
loop_
_atom_site_label
_atom_site_fract_x
_atom_site_fract_y
_atom_site_fract_z
_atom_site_occupancy
Li1 0.0000 0.0000 0.0000 1
Er1 0.3333 0.6667 0.5000 1
Pu1 0.6667 0.3333 0.0000 1
O1 0.3551 0.0248 0.2263 1
```